# 1
This entry pairs a crystal structure of Zr6Pd3Ru with its theoretical powder diffraction line list. Radiation: copper Kα. Structure: DFT lattice parameters and positions (PBE).
Neutral-atom scattering factors, no anomalous dispersion.

The 10 most intense peaks (2θ = 5–70°), sorted by position:
2θ (°)  d (Å)  I/Imax  index
33.35  2.687  29  2 3 0
33.55  2.671  67  1 3 1
38.19  2.356  100  3 0 1
38.71  2.326  52  0 0 2
40.33  2.236  18  2 4 0
40.50  2.227  36  1 4 1
51.44  1.777  11  4 3 0
52.00  1.759  16  2 3 2
57.14  1.612  13  2 4 2
69.72  1.349  16  3 0 3

Crystal structure
Unit cell a=8.1989 b=10.6724 c=4.6520 alpha=90.00 beta=90.00 gamma=90.00
Space group Pnnm (No. 58)
Asymmetric unit:
Zr: 0.0011 0.2497 0.0000 (multiplicity 4)
Zr: 0.1609 0.5935 0.5000 (multiplicity 4)
Zr: 0.1773 0.9218 0.5000 (multiplicity 4)
Pd: 0.0000 0.0000 0.0000 (multiplicity 2)
Pd: 0.1713 0.2950 0.5000 (multiplicity 4)
Ru: 0.0000 0.5000 0.0000 (multiplicity 2)

=====

# 2
This entry pairs a crystal structure of Ho3Sn4Pt3 with its theoretical powder diffraction line list. Radiation: copper Kα. Structure: DFT lattice parameters and positions (PBE).
Neutral-atom scattering factors, no anomalous dispersion.

The 10 most intense peaks (2θ = 5–70°), sorted by position:
2θ (°)  d (Å)  I/Imax  index
22.22  4.000  26  2 1 1
34.24  2.619  100  3 2 1
41.20  2.191  51  4 2 0
43.31  2.089  12  3 3 2
45.35  2.000  15  4 2 2
47.31  1.922  13  5 1 0
51.06  1.789  13  5 2 1
59.69  1.549  13  6 2 0
66.07  1.414  12  4 4 4
69.14  1.359  11  6 4 0

Crystal structure
Unit cell a=9.7979 b=9.7979 c=9.7979 alpha=90.00 beta=90.00 gamma=90.00
Space group I-43d (No. 220)
Asymmetric unit:
Ho: 0.0000 0.2500 0.3750 (multiplicity 12)
Sn: 0.0818 0.0818 0.0818 (multiplicity 16)
Pt: 0.0000 0.2500 0.8750 (multiplicity 12)

=====

# 3
This entry pairs a crystal structure of Sm4YPb4 with its theoretical powder diffraction line list. Radiation: copper Kα. Structure: DFT lattice parameters and positions (PBE).
Neutral-atom scattering factors, no anomalous dispersion.

The 10 most intense peaks (2θ = 5–70°), sorted by position:
2θ (°)  d (Å)  I/Imax  index
18.43  4.814  10  2 0 0
29.20  3.058  45  1 0 2
29.34  3.044  100  1 3 0
34.75  2.581  52  1 2 2
41.97  2.153  31  4 2 0
44.03  2.057  36  2 3 2
48.11  1.891  32  4 1 2
59.08  1.564  19  2 5 2
65.50  1.425  19  1 3 4
68.94  1.362  25  5 4 2

Crystal structure
Unit cell a=9.6273 b=9.6273 c=6.4506 alpha=90.00 beta=90.00 gamma=90.00
Space group P4_2/n (No. 86, origin choice 2)
Asymmetric unit:
Sm: 0.0301 0.6665 0.1310 (multiplicity 8)
Y: 0.2500 0.2500 0.2500 (multiplicity 2)
Pb: 0.0318 0.6505 0.6245 (multiplicity 8)